This entry pairs a crystal structure of KPr3Te8 with its simulated X-ray diffraction stick pattern. Radiation: Cu Kα (λ = 1.5418 Å). Structure: a crystal structure in the Materials Project, relaxed with GGA-PBE.
Lines closer than 0.1° are merged.

Principal peaks in the range 10° ≤ 2θ ≤ 90°, low angle first:
2theta  d [Å]  Rel. int.  hkl
25.08  3.551  30  4 0 0
28.67  3.113  24  0 3 2
30.05  2.974  100  1 3 2
32.58  2.748  25  4 3 0
32.64  2.743  24  3 3 -2
36.22  2.480  48  4 3 -2
39.81  2.264  27  1 0 -4
41.65  2.168  22  0 6 0

Cell and atoms:
```
data_KPr3Te8
_chemical_formula_sum 'K4 Pr12 Te32'
_cell_length_a 14.3859
_cell_length_b 13.0098
_cell_length_c 9.0573
_cell_angle_alpha 90.00
_cell_angle_beta 99.00
_cell_angle_gamma 90.00
_symmetry_space_group_name_H-M 'P 1 21/c 1'
_symmetry_Int_Tables_number 14
loop_
_symmetry_equiv_pos_as_xyz
'x,y,z'
'-x,-y,-z'
'-x,y+1/2,-z+1/2'
'x,-y+1/2,z+1/2'
loop_
_atom_site_label
_atom_site_fract_x
_atom_site_fract_y
_atom_site_fract_z
K1 0.0367 0.0920 0.2583
Pr1 0.3461 0.7493 0.0870
Pr2 0.3498 0.0848 0.0802
Pr3 0.3521 0.0840 0.5958
Te1 0.1638 0.7271 0.7915
Te2 0.1703 0.5800 0.0334
Te3 0.1697 0.5808 0.5519
Te4 0.1724 0.0962 0.7928
Te5 0.1748 0.2493 0.5433
Te6 0.4130 0.5797 0.8514
Te7 0.4157 0.5854 0.3563
Te8 0.4193 0.2456 0.3550
```

---

This entry pairs a crystal structure of K2Pt with its simulated X-ray diffraction stick pattern. Radiation: Cu Kα (λ = 1.5418 Å). Structure: a crystal structure in the Materials Project, relaxed with GGA-PBE.
Lines closer than 0.1° are merged.

Principal peaks in the range 10° ≤ 2θ ≤ 90°, low angle first:
2theta  d [Å]  Rel. int.  hkl
20.08  4.423  100  1 1 1
23.22  3.830  16  2 0 0
33.08  2.708  89  2 2 0
39.00  2.310  56  3 1 1
52.04  1.757  25  3 3 1
59.08  1.564  32  4 2 2
63.06  1.474  19  5 1 1
73.08  1.295  18  5 3 1

Cell and atoms:
```
data_K2Pt
_chemical_formula_sum 'K8 Pt4'
_cell_length_a 7.6602
_cell_length_b 7.6602
_cell_length_c 7.6602
_cell_angle_alpha 90.00
_cell_angle_beta 90.00
_cell_angle_gamma 90.00
_symmetry_space_group_name_H-M 'F m -3 m'
_symmetry_Int_Tables_number 225
_symmetry_space_group_name_Hall '-F 4 2 3'
loop_
_atom_site_label
_atom_site_fract_x
_atom_site_fract_y
_atom_site_fract_z
K1 0.2500 0.2500 0.2500
Pt1 0.0000 0.0000 0.0000
```

---

This entry pairs a crystal structure of KPt3 with its simulated X-ray diffraction stick pattern. Radiation: Cu Kα (λ = 1.5418 Å). Structure: a crystal structure in the Materials Project, relaxed with GGA-PBE.
Lines closer than 0.1° are merged.

Principal peaks in the range 10° ≤ 2θ ≤ 90°, low angle first:
2theta  d [Å]  Rel. int.  hkl
15.68  5.652  67  1 0 0
31.66  2.826  24  2 0 0
37.38  2.406  100  2 0 1
39.32  2.291  24  0 0 2
46.92  1.936  24  2 1 1
52.51  1.743  22  3 0 1
70.01  1.344  16  2 0 3
86.17  1.129  17  3 2 2

Cell and atoms:
```
data_KPt3
_chemical_formula_sum 'K2 Pt6'
_cell_length_a 6.5267
_cell_length_b 6.5267
_cell_length_c 4.5828
_cell_angle_alpha 90.00
_cell_angle_beta 90.00
_cell_angle_gamma 120.00
_symmetry_space_group_name_H-M 'P 63/m m c'
_symmetry_Int_Tables_number 194
_symmetry_space_group_name_Hall '-P 6c 2c'
loop_
_atom_site_label
_atom_site_fract_x
_atom_site_fract_y
_atom_site_fract_z
K1 0.3333 0.6667 0.2500
Pt1 0.1387 0.2775 0.7500
```

---

This entry pairs a crystal structure of K2PtS6 with its simulated X-ray diffraction stick pattern. Radiation: Cu Kα (λ = 1.5418 Å). Structure: a crystal structure in the Materials Project, relaxed with GGA-PBE.
Lines closer than 0.1° are merged.

Principal peaks in the range 10° ≤ 2θ ≤ 90°, low angle first:
2theta  d [Å]  Rel. int.  hkl
13.56  6.529  100  2 0 0
16.90  5.246  73  0 0 1
21.67  4.101  70  2 0 -1
21.80  4.077  77  2 0 1
23.59  3.771  45  0 2 0
36.98  2.431  23  1 1 2
40.31  2.237  56  1 3 -1
40.55  2.225  23  5 1 1

Cell and atoms:
```
data_K2PtS6
_chemical_formula_sum 'K4 Pt2 S12'
_cell_length_a 13.0345
_cell_length_b 7.5560
_cell_length_c 5.2460
_cell_angle_alpha 90.00
_cell_angle_beta 90.47
_cell_angle_gamma 90.00
_symmetry_space_group_name_H-M 'C 1 2/m 1'
_symmetry_Int_Tables_number 12
loop_
_symmetry_equiv_pos_as_xyz
'x,y,z'
'-x,-y,-z'
'-x,y,-z'
'x,-y,z'
'x+1/2,y+1/2,z'
'-x+1/2,-y+1/2,-z'
'-x+1/2,y+1/2,-z'
'x+1/2,-y+1/2,z'
loop_
_atom_site_label
_atom_site_fract_x
_atom_site_fract_y
_atom_site_fract_z
K1 0.1745 0.0000 0.1061
Pt1 0.0000 0.5000 0.5000
S1 0.0738 0.2158 0.5829
S2 0.1786 0.5000 0.3968
```

---

This entry pairs a crystal structure of K2PtS6 with its simulated X-ray diffraction stick pattern. Radiation: Cu Kα (λ = 1.5418 Å). Structure: a crystal structure in the Materials Project, relaxed with GGA-PBE.
Lines closer than 0.1° are merged.

Principal peaks in the range 10° ≤ 2θ ≤ 90°, low angle first:
2theta  d [Å]  Rel. int.  hkl
12.19  7.264  29  0 0 1
13.53  6.545  54  0 1 0
14.04  6.309  100  0 1 -1
14.59  6.069  49  1 0 -1
15.99  5.543  37  1 -1 0
20.10  4.417  29  1 -1 1
20.20  4.395  28  -1 1 1
21.65  4.105  19  0 1 1

Cell and atoms:
```
data_K2PtS6
_chemical_formula_sum 'K2 Pt1 S6'
_cell_length_a 7.0024
_cell_length_b 7.3091
_cell_length_c 8.3098
_cell_angle_alpha 108.67
_cell_angle_beta 107.06
_cell_angle_gamma 101.65
_symmetry_space_group_name_H-M 'P -1'
_symmetry_Int_Tables_number 2
loop_
_symmetry_equiv_pos_as_xyz
'x,y,z'
'-x,-y,-z'
loop_
_atom_site_label
_atom_site_fract_x
_atom_site_fract_y
_atom_site_fract_z
K1 0.2048 0.2950 0.0035
Pt1 0.5000 0.0000 0.5000
S1 0.2277 0.7241 0.2510
S2 0.2924 0.9787 0.6795
S3 0.4873 0.8047 0.6806
```

---

This entry pairs a crystal structure of KSi4Pt4 with its simulated X-ray diffraction stick pattern. Radiation: Cu Kα (λ = 1.5418 Å). Structure: a crystal structure in the Materials Project, relaxed with GGA-PBE.
Lines closer than 0.1° are merged.

Principal peaks in the range 10° ≤ 2θ ≤ 90°, low angle first:
2theta  d [Å]  Rel. int.  hkl
14.77  5.999  22  1 1 0
20.94  4.242  39  2 0 0
30.43  2.938  100  1 2 1
33.40  2.683  32  3 1 0
38.79  2.321  20  0 0 2
45.35  2.000  20  3 3 0
48.39  1.881  53  4 1 1
61.17  1.515  20  3 3 2

Cell and atoms:
```
data_KSi4Pt4
_chemical_formula_sum 'K2 Si8 Pt8'
_cell_length_a 8.4841
_cell_length_b 8.4841
_cell_length_c 4.6424
_cell_angle_alpha 90.00
_cell_angle_beta 90.00
_cell_angle_gamma 90.00
_symmetry_space_group_name_H-M 'I 4'
_symmetry_Int_Tables_number 79
loop_
_symmetry_equiv_pos_as_xyz
'x,y,z'
'-y,x,z'
'-x,-y,z'
'y,-x,z'
'x+1/2,y+1/2,z+1/2'
'-y+1/2,x+1/2,z+1/2'
'-x+1/2,-y+1/2,z+1/2'
'y+1/2,-x+1/2,z+1/2'
loop_
_atom_site_label
_atom_site_fract_x
_atom_site_fract_y
_atom_site_fract_z
K1 0.0000 0.0000 0.0000
Si1 0.1138 0.3856 0.2985
Pt1 0.1729 0.6750 0.2984
```

---

Please write out number 3 again, unchanged.
This entry pairs a crystal structure of KPt3 with its simulated X-ray diffraction stick pattern. Radiation: Cu Kα (λ = 1.5418 Å). Structure: a crystal structure in the Materials Project, relaxed with GGA-PBE.
Lines closer than 0.1° are merged.

Principal peaks in the range 10° ≤ 2θ ≤ 90°, low angle first:
2theta  d [Å]  Rel. int.  hkl
15.68  5.652  67  1 0 0
31.66  2.826  24  2 0 0
37.38  2.406  100  2 0 1
39.32  2.291  24  0 0 2
46.92  1.936  24  2 1 1
52.51  1.743  22  3 0 1
70.01  1.344  16  2 0 3
86.17  1.129  17  3 2 2

Cell and atoms:
```
data_KPt3
_chemical_formula_sum 'K2 Pt6'
_cell_length_a 6.5267
_cell_length_b 6.5267
_cell_length_c 4.5828
_cell_angle_alpha 90.00
_cell_angle_beta 90.00
_cell_angle_gamma 120.00
_symmetry_space_group_name_H-M 'P 63/m m c'
_symmetry_Int_Tables_number 194
_symmetry_space_group_name_Hall '-P 6c 2c'
loop_
_atom_site_label
_atom_site_fract_x
_atom_site_fract_y
_atom_site_fract_z
K1 0.3333 0.6667 0.2500
Pt1 0.1387 0.2775 0.7500
```